GaNiPbO4: calculated XRD peak list (copper Kα), based on a crystal structure in Alexandria, relaxed with PBE+U.
Kinematic intensities with the Lorentz-polarization factor, no thermal factor.

Top 10 peaks for 5 to 70 degrees two-theta, sorted by position:
2θ 17.16, d 5.167, rel. 62
2θ 20.14, d 4.409, rel. 20
2θ 27.99, d 3.188, rel. 23
2θ 33.07, d 2.709, rel. 100
2θ 33.58, d 2.669, rel. 47
2θ 34.75, d 2.581, rel. 45
2θ 40.04, d 2.252, rel. 25
2θ 44.30, d 2.045, rel. 16
2θ 52.85, d 1.732, rel. 25
2θ 58.61, d 1.575, rel. 37

Structural model:
abc: 6.302 6.302 6.302
angles: 119.38 119.22 91.22
Element x y z (fractional)
1 Ga 0.379 0.129 0.250
2 Ga 0.621 0.871 0.750
3 Ni 0.000 0.500 0.500
4 Ni 0.500 0.500 0.000
5 Pb 0.000 0.000 0.500
6 Pb 0.000 0.500 0.000
7 O 0.253 0.738 0.516
8 O 0.262 0.270 0.508
9 O 0.262 0.754 0.992
10 O 0.278 0.262 0.016
11 O 0.722 0.738 0.984
12 O 0.738 0.246 0.008
13 O 0.738 0.730 0.492
14 O 0.747 0.262 0.484